KFe2Te2: calculated powder diffractogram (copper Kα), based on a crystal structure in the Materials Project, relaxed with GGA-PBE.
Neutral-atom scattering factors, no anomalous dispersion.

Structural model:
```
KFe2Te2
1.0
-1.940 1.940 8.185
1.940 -1.940 8.185
1.940 1.940 -8.185
K Fe Te
1 2 2
direct
0.000 0.000 0.000
0.250 0.750 0.500
0.750 0.250 0.500
0.360 0.360 0.000
0.640 0.640 0.000
```

Top 8 peaks for 10° ≤ 2θ ≤ 80°, by angle:
two_theta	d/Å	I (rel.)
10.81	8.185	55
23.57	3.775	31
28.22	3.162	100
39.55	2.279	56
45.28	2.003	17
46.84	1.940	30
46.97	1.934	30
55.58	1.653	29